Starting from DFT lattice parameters and positions (PBE), the powder diffractogram of SbMo4 was computed for Cu Kα (λ = 1.5418 Å).
No peak broadening, texture or thermal motion is included.

Peak list (8 most intense, 15 to 90 degrees two-theta, sorted by position)
32.06 deg, d 2.792, intensity 61; 34.39 deg, d 2.607, intensity 100; 43.56 deg, d 2.078, intensity 59; 44.47 deg, d 2.037, intensity 30; 45.67 deg, d 1.986, intensity 33; 55.10 deg, d 1.667, intensity 25; 64.95 deg, d 1.436, intensity 22; 74.06 deg, d 1.280, intensity 21

Structural model:
```
SbMo4
1.0
-2.0779 2.0779 5.6539
2.0779 -2.0779 5.6539
2.0779 2.0779 -5.6539
Sb Mo
1 4
direct
0.0000 0.0000 0.0000
0.2500 0.7500 0.5000
0.3827 0.3827 0.0000
0.6173 0.6173 0.0000
0.7500 0.2500 0.5000
```



Starting from DFT lattice parameters and positions (PBE), the powder diffractogram of Sc2SbMo was computed for Cu Kα (λ = 1.5418 Å).
No peak broadening, texture or thermal motion is included.

Peak list (8 most intense, 15 to 90 degrees two-theta, sorted by position)
35.40 deg, d 2.535, intensity 65; 37.62 deg, d 2.391, intensity 100; 38.17 deg, d 2.358, intensity 17; 49.62 deg, d 1.837, intensity 16; 50.94 deg, d 1.793, intensity 22; 65.02 deg, d 1.434, intensity 37; 69.31 deg, d 1.356, intensity 12; 73.85 deg, d 1.283, intensity 12

Structural model:
```
Sc2SbMo
1.0
3.5855 0.0000 0.0000
0.0000 3.5855 0.0000
0.0000 0.0000 6.4181
Sc Sb Mo
2 1 1
direct
0.0000 0.0000 0.0000
0.5000 0.5000 0.2940
0.5000 0.5000 0.7533
0.0000 0.0000 0.5522
```



Starting from DFT lattice parameters and positions (PBE), the powder diffractogram of Sb2MoSe was computed for Cu Kα (λ = 1.5418 Å).
No peak broadening, texture or thermal motion is included.

Peak list (8 most intense, 15 to 90 degrees two-theta, sorted by position)
27.60 deg, d 3.232, intensity 35; 27.86 deg, d 3.202, intensity 75; 32.64 deg, d 2.744, intensity 37; 33.26 deg, d 2.694, intensity 100; 34.27 deg, d 2.617, intensity 53; 36.43 deg, d 2.466, intensity 37; 38.64 deg, d 2.330, intensity 37; 46.68 deg, d 1.946, intensity 67

Structural model:
```
Sb2MoSe
1.0
6.6552 0.0000 0.0000
0.0000 6.5622 0.0000
-1.3761 0.0000 18.6927
Sb Mo Se
16 8 8
direct
0.0739 0.1247 0.0741
0.0739 0.3753 0.5741
0.0740 0.6248 0.0743
0.0740 0.8752 0.5743
0.1996 0.1015 0.2260
0.1996 0.3985 0.7260
0.2000 0.6477 0.2262
0.2000 0.8523 0.7262
0.8000 0.1477 0.2738
0.8000 0.3523 0.7738
0.8004 0.6015 0.2740
0.8004 0.8985 0.7740
0.9260 0.1248 0.4257
0.9260 0.3752 0.9257
0.9261 0.6247 0.4259
0.9261 0.8753 0.9259
0.3270 0.1244 0.4948
0.3270 0.3756 0.9948
0.3266 0.6254 0.4946
0.3266 0.8746 0.9946
0.6734 0.1254 0.0054
0.6734 0.3746 0.5054
0.6730 0.6244 0.0052
0.6730 0.8756 0.5052
0.4119 0.1253 0.9004
0.4119 0.3747 0.4004
0.4121 0.6249 0.9001
0.4121 0.8751 0.4001
0.5879 0.1249 0.5999
0.5879 0.3751 0.0999
0.5881 0.6253 0.5996
0.5881 0.8747 0.0996
```



Starting from DFT lattice parameters and positions (PBE), the powder diffractogram of Sn2SbMoSe was computed for Cu Kα (λ = 1.5418 Å).
No peak broadening, texture or thermal motion is included.

Peak list (8 most intense, 15 to 90 degrees two-theta, sorted by position)
25.04 deg, d 3.557, intensity 26; 29.99 deg, d 2.980, intensity 100; 32.82 deg, d 2.729, intensity 97; 38.39 deg, d 2.345, intensity 32; 47.10 deg, d 1.930, intensity 35; 51.38 deg, d 1.778, intensity 55; 56.84 deg, d 1.620, intensity 34; 62.32 deg, d 1.490, intensity 31

Structural model:
```
Sn2SbMoSe
1.0
5.4579 0.0000 0.0000
0.0000 5.4579 0.0000
0.0000 0.0000 4.6894
Sn Sb Mo Se
2 1 1 1
direct
0.0000 0.5000 0.0000
0.5000 0.0000 0.0000
0.0000 0.0000 0.5000
0.5000 0.5000 0.0000
0.5000 0.5000 0.5000
```



Starting from DFT lattice parameters and positions (PBE), the powder diffractogram of Ta2SbMo was computed for Cu Kα (λ = 1.5418 Å).
No peak broadening, texture or thermal motion is included.

Peak list (8 most intense, 15 to 90 degrees two-theta, sorted by position)
37.34 deg, d 2.408, intensity 100; 41.72 deg, d 2.165, intensity 18; 44.21 deg, d 2.049, intensity 31; 62.40 deg, d 1.488, intensity 22; 64.30 deg, d 1.449, intensity 10; 73.27 deg, d 1.292, intensity 14; 76.79 deg, d 1.241, intensity 24; 79.63 deg, d 1.204, intensity 11

Structural model:
```
Ta2SbMo
1.0
-2.0487 2.0487 4.3304
2.0487 -2.0487 4.3304
2.0487 2.0487 -4.3304
Ta Sb Mo
2 1 1
direct
0.2500 0.7500 0.5000
0.7500 0.2500 0.5000
0.0000 0.0000 0.0000
0.5000 0.5000 0.0000
```



Starting from DFT lattice parameters and positions (PBE), the powder diffractogram of TcSb4Mo2 was computed for Cu Kα (λ = 1.5418 Å).
No peak broadening, texture or thermal motion is included.

Peak list (8 most intense, 15 to 90 degrees two-theta, sorted by position)
27.53 deg, d 3.240, intensity 39; 32.00 deg, d 2.797, intensity 100; 39.25 deg, d 2.295, intensity 59; 42.63 deg, d 2.121, intensity 45; 42.79 deg, d 2.113, intensity 56; 51.83 deg, d 1.764, intensity 17; 66.90 deg, d 1.399, intensity 23; 73.71 deg, d 1.285, intensity 27

Structural model:
```
TcSb4Mo2
1.0
3.5281 -5.6335 0.0000
3.5281 5.6335 0.0000
-3.5204 0.0000 7.9176
Tc Sb Mo
2 8 4
direct
0.1247 0.8753 0.5000
0.8753 0.1247 0.0000
0.3478 0.3710 0.1946
0.3710 0.3478 0.6946
0.3879 0.8878 0.8051
0.4034 0.9259 0.3051
0.8324 0.8320 0.1949
0.8320 0.8324 0.6949
0.8878 0.3879 0.3051
0.9259 0.4034 0.8051
0.1115 0.8874 0.0011
0.3604 0.6362 0.4989
0.6362 0.3604 0.9989
0.8874 0.1115 0.5011
```